No. 1
Starting from a crystal structure in Alexandria, relaxed with GGA-PBE, the powder XRD pattern of Sm8NiIr2 was simulated for Cu Kα (λ = 1.5418 Å).
Neutral-atom scattering factors, no anomalous dispersion.

Atomic structure:
```
Sm8NiIr2
1.0
4.2662 -6.1983 0.0000
4.2662 6.1983 0.0000
-2.1377 0.0000 5.9298
Sm Ni Ir
8 1 2
direct
0.0000 0.0000 0.0000
0.0101 0.2769 0.5851
0.1617 0.5623 0.1975
0.2769 0.0101 0.5851
0.4357 0.7031 0.8247
0.5623 0.1617 0.1975
0.7031 0.4357 0.8247
0.7145 0.7145 0.3934
0.3550 0.3550 0.9952
0.0390 0.6690 0.6973
0.6690 0.0390 0.6973
```

Main lines, low angle first (10 to 90 degrees two-theta):
two_theta  I/Imax
14.9  37
30.5  100
30.8  45
32.5  84
33.5  41
39.5  46

***

No. 2
Starting from a crystal structure in Alexandria, relaxed with GGA-PBE, the powder XRD pattern of PmPbF was simulated for Cu Kα (λ = 1.5418 Å).
Neutral-atom scattering factors, no anomalous dispersion.

Atomic structure:
```
PmPbF
1.0
5.1764 0.0000 0.0000
0.0000 3.8942 0.0000
-2.0038 0.0000 7.5651
Pm Pb F
2 2 2
direct
0.0060 0.2500 0.2291
0.9940 0.7500 0.7709
0.4519 0.2500 0.6445
0.5481 0.7500 0.3555
0.1312 0.2500 0.9507
0.8688 0.7500 0.0493
```

Main lines, low angle first (10 to 90 degrees two-theta):
two_theta  I/Imax
11.7  30
23.7  34
29.6  100
33.0  38
33.1  62
35.9  29

***

No. 3
Starting from a crystal structure in Alexandria, relaxed with GGA-PBE, the powder XRD pattern of Pu2MgU was simulated for Cu Kα (λ = 1.5418 Å).
Neutral-atom scattering factors, no anomalous dispersion.

Atomic structure:
```
Pu2MgU
1.0
1.8340 1.0589 9.3960
-1.8340 1.0589 9.3960
0.0000 -2.1177 9.3960
Pu Mg U
2 1 1
direct
0.1143 0.1143 0.1143
0.8857 0.8857 0.8857
0.0000 0.0000 0.0000
0.5000 0.5000 0.5000
```

Main lines, low angle first (10 to 90 degrees two-theta):
two_theta  I/Imax
28.8  35
32.3  100
38.1  72
42.9  36
49.7  41
51.0  33

***

No. 4
Starting from a crystal structure in Alexandria, relaxed with GGA-PBE, the powder XRD pattern of Ho3Bi2Te2 was simulated for Cu Kα (λ = 1.5418 Å).
Neutral-atom scattering factors, no anomalous dispersion.

Atomic structure:
```
Ho3Bi2Te2
1.0
7.4232 -2.0446 0.0000
7.4232 2.0446 0.0000
-1.4398 0.0000 7.6223
Ho Bi Te
3 2 2
direct
0.0000 0.0000 0.0000
0.2523 0.2523 0.7392
0.7477 0.7477 0.2608
0.1078 0.1078 0.3875
0.8922 0.8922 0.6125
0.3710 0.3710 0.1174
0.6290 0.6290 0.8826
```

Main lines, low angle first (10 to 90 degrees two-theta):
two_theta  I/Imax
28.4  58
29.5  100
40.1  18
41.3  41
41.5  39
53.4  20

***

No. 5
Starting from a crystal structure in Alexandria, relaxed with GGA-PBE, the powder XRD pattern of Sr4BiTe2Br was simulated for Cu Kα (λ = 1.5418 Å).
Neutral-atom scattering factors, no anomalous dispersion.

Atomic structure:
```
Sr4BiTe2Br
1.0
0.0000 6.7796 4.7326
4.7310 0.0000 4.7326
4.7310 6.7796 0.0000
Sr Bi Te Br
4 1 2 1
direct
0.2418 0.7582 0.2418
0.4991 0.9984 0.5009
0.7582 0.2418 0.7582
0.9984 0.4991 0.0016
0.9993 0.9993 0.0007
0.2501 0.2501 0.2499
0.7501 0.7501 0.7499
0.4992 0.4992 0.5008
```

Main lines, low angle first (10 to 90 degrees two-theta):
two_theta  I/Imax
26.3  51
26.6  100
37.8  79
38.0  39
46.8  43
68.6  27

***

No. 6
Starting from a crystal structure in Alexandria, relaxed with GGA-PBE, the powder XRD pattern of Co2Pt2Rh5 was simulated for Cu Kα (λ = 1.5418 Å).
Neutral-atom scattering factors, no anomalous dispersion.

Atomic structure:
```
Co2Pt2Rh5
1.0
5.7294 -1.9082 0.0000
5.7294 1.9082 0.0000
-1.9099 0.0000 5.7461
Co Pt Rh
2 2 5
direct
0.0563 0.0563 0.3354
0.9437 0.9437 0.6646
0.3916 0.3916 0.3363
0.6084 0.6084 0.6637
0.1641 0.1641 0.0036
0.2822 0.2822 0.6682
0.5000 0.5000 0.0000
0.7178 0.7178 0.3318
0.8359 0.8359 0.9964
```

Main lines, low angle first (10 to 90 degrees two-theta):
two_theta  I/Imax
40.9  100
47.5  16
47.6  32
69.5  20
83.8  12
84.1  24